1.
Starting from a DFT-relaxed cell (PBE, Alexandria), the powder diffractogram of Li2SnP2O7 was simulated for Cu Kα (λ = 1.5418 Å).
Lines closer than 0.1° are merged.

Most intense lines, 2θ = 5–70°, low angle first:
2theta	I_rel	h k l
10.5	33	0 1 -1
17.8	100	0 0 2
19.8	38	1 -2 0
21.2	23	0 2 -2
22.7	31	1 -2 2
27.1	54	1 0 -3
29.0	49	-2 2 1
29.2	40	0 3 -2
30.6	27	2 0 1
31.7	22	0 3 0

```
data_Li2SnP2O7
_chemical_formula_sum 'Li8 Sn4 P8 O28'
_space_group_name_H-M_alt 'P 1'
_space_group_IT_number 1
_space_group_name_Hall 'P 1'
_cell_length_a 7.2212
_cell_length_b 9.9108
_cell_length_c 10.9851
_cell_angle_alpha 110.93
_cell_angle_beta 94.72
_cell_angle_gamma 110.43
loop_
_atom_site_label
_atom_site_type_symbol
_atom_site_fract_x
_atom_site_fract_y
_atom_site_fract_z
Li1 Li 0.0000 0.0000 0.0000
Li2 Li 0.0051 0.3372 0.8231
Li3 Li 0.0969 0.3811 0.5063
Li4 Li 0.2131 0.7606 0.5467
Li5 Li 0.2864 0.9254 0.0798
Li6 Li 0.3321 0.6820 0.2635
Li7 Li 0.5286 0.4073 0.4021
Li8 Li 0.8160 0.5702 0.6426
Sn1 Sn 0.4565 0.3367 0.7823
Sn2 Sn 0.5896 0.9762 0.7958
Sn3 Sn 0.8310 0.5641 0.1958
Sn4 Sn 0.8400 0.9827 0.2758
P1 P 0.0336 0.9953 0.7212
P2 P 0.1103 0.3315 0.2274
P3 P 0.2593 0.6320 0.7834
P4 P 0.2911 0.9460 0.3579
P5 P 0.4231 0.2747 0.0896
P6 P 0.6690 0.7719 0.5059
P7 P 0.6906 0.2144 0.5416
P8 P 0.9434 0.6581 0.9432
O1 O 0.0340 0.4606 0.2354
O2 O 0.1244 0.1766 0.7736
O3 O 0.1275 0.5852 0.6456
O4 O 0.1596 0.7189 0.8981
O5 O 0.1612 0.0408 0.3603
O6 O 0.1843 0.7952 0.3801
O7 O 0.1888 0.9237 0.6992
O8 O 0.2373 0.3737 0.3639
O9 O 0.2574 0.4849 0.8027
O10 O 0.2590 0.3539 0.1249
O11 O 0.3063 0.0969 0.0320
O12 O 0.3785 0.9032 0.2338
O13 O 0.4743 0.7594 0.8217
O14 O 0.4832 0.0552 0.4868
O15 O 0.5139 0.8110 0.5881
O16 O 0.5235 0.3459 0.9944
O17 O 0.5867 0.3456 0.2201
O18 O 0.6064 0.7530 0.3629
O19 O 0.6371 0.3454 0.5295
O20 O 0.7115 0.6352 0.5143
O21 O 0.7626 0.2408 0.6857
O22 O 0.7695 0.5814 0.8197
O23 O 0.8473 0.1859 0.4560
O24 O 0.8806 0.9312 0.5752
O25 O 0.8913 0.9444 0.8103
O26 O 0.9515 0.1590 0.1603
O27 O 0.9573 0.5393 0.0004
O28 O 0.9650 0.8174 0.0482
```



2.
Starting from a DFT-relaxed cell (PBE, Alexandria), the powder diffractogram of CaEuYNbO6 was simulated for Cu Kα (λ = 1.5418 Å).
Lines closer than 0.1° are merged.

Most intense lines, 2θ = 5–70°, low angle first:
2theta	I_rel	h k l
18.3	21	1 1 1
30.1	100	2 2 0
35.4	13	3 1 1
37.1	4	2 2 2
43.1	34	4 0 0
47.2	6	3 3 1
53.4	39	4 2 2
57.0	5	5 1 1
62.5	21	4 4 0
65.8	5	5 3 1

```
data_CaEuYNbO6
_chemical_formula_sum 'Ca4 Eu4 Y4 Nb4 O24'
_space_group_name_H-M_alt 'F -4 3 m'
_space_group_IT_number 216
_space_group_name_Hall 'F -4 2 3'
_cell_length_a 8.4013
_cell_length_b 8.4013
_cell_length_c 8.4013
_cell_angle_alpha 90.00
_cell_angle_beta 90.00
_cell_angle_gamma 90.00
loop_
_atom_site_label
_atom_site_type_symbol
_atom_site_fract_x
_atom_site_fract_y
_atom_site_fract_z
Ca1 Ca 0.0000 0.0000 0.0000
Eu1 Eu 0.0000 0.0000 0.5000
Y1 Y 0.2500 0.2500 0.7500
Nb1 Nb 0.2500 0.2500 0.2500
O1 O 0.0118 0.2500 0.2500
```



3.
Starting from a DFT-relaxed cell (PBE, Alexandria), the powder diffractogram of In5Bi2I12 was simulated for Cu Kα (λ = 1.5418 Å).
Lines closer than 0.1° are merged.

Most intense lines, 2θ = 5–70°, low angle first:
2theta	I_rel	h k l
16.8	33	2 0 -2
26.0	100	2 2 -2
26.6	92	0 2 2
27.8	43	6 0 -1
28.0	45	4 2 0
29.8	36	6 0 0
31.6	51	4 2 1
33.3	75	2 0 -4
38.0	51	6 2 -3
40.1	56	0 4 0

```
data_In5Bi2I12
_chemical_formula_sum 'In10 Bi4 I24'
_space_group_name_H-M_alt 'C 1 2/m 1'
_space_group_IT_number 12
_space_group_name_Hall '-C 2y'
_cell_length_a 19.3008
_cell_length_b 8.9895
_cell_length_c 10.7868
_cell_angle_alpha 90.00
_cell_angle_beta 111.05
_cell_angle_gamma 90.00
loop_
_atom_site_label
_atom_site_type_symbol
_atom_site_fract_x
_atom_site_fract_y
_atom_site_fract_z
In1 In 0.0000 0.0000 0.0000
In2 In 0.1826 0.5000 0.3266
In3 In 0.2330 0.5000 0.8713
Bi1 Bi 0.0000 0.2563 0.5000
I1 I 0.0076 0.0000 0.7038
I2 I 0.0109 0.5000 0.7140
I3 I 0.1236 0.2412 0.0731
I4 I 0.1705 0.2609 0.5928
```



4.
Starting from a DFT-relaxed cell (PBE, Alexandria), the powder diffractogram of MgSn3Ru was simulated for Cu Kα (λ = 1.5418 Å).
Lines closer than 0.1° are merged.

Most intense lines, 2θ = 5–70°, low angle first:
2theta	I_rel	h k l
13.8	30	2 0 0
18.6	14	0 2 0
33.4	100	3 1 1
33.7	28	4 2 0
38.0	49	1 3 1
38.5	17	1 4 0
40.0	13	2 3 1
42.3	15	6 0 0
49.4	17	0 0 2
63.9	17	7 3 1

```
data_MgSn3Ru
_chemical_formula_sum 'Mg4 Sn12 Ru4'
_space_group_name_H-M_alt 'A m a 2'
_space_group_IT_number 40
_space_group_name_Hall 'A 2 -2a'
_cell_length_a 12.8166
_cell_length_b 9.5179
_cell_length_c 3.6930
_cell_angle_alpha 90.00
_cell_angle_beta 90.00
_cell_angle_gamma 90.00
loop_
_atom_site_label
_atom_site_type_symbol
_atom_site_fract_x
_atom_site_fract_y
_atom_site_fract_z
Mg1 Mg 0.0000 0.0000 0.0000
Sn1 Sn 0.1031 0.2120 0.4988
Sn2 Sn 0.2500 0.4227 0.9983
Ru1 Ru 0.2500 0.1323 0.9986
```



5.
Starting from a DFT-relaxed cell (PBE, Alexandria), the powder diffractogram of Ba2PrSb3Rh4 was simulated for Cu Kα (λ = 1.5418 Å).
Lines closer than 0.1° are merged.

Most intense lines, 2θ = 5–70°, low angle first:
2theta	I_rel	h k l
30.5	52	1 0 3
31.4	100	1 1 2
38.7	68	2 0 0
42.1	33	1 1 4
44.5	22	1 0 5
50.0	25	2 1 3
55.8	23	2 2 0
56.2	12	1 1 6
60.4	18	2 1 5
65.5	24	3 1 2

```
data_Ba2PrSb3Rh4
_chemical_formula_sum 'Ba2 Pr1 Sb3 Rh4'
_space_group_name_H-M_alt 'P -4 m 2'
_space_group_IT_number 115
_space_group_name_Hall 'P -4 -2'
_cell_length_a 4.6562
_cell_length_b 4.6562
_cell_length_c 11.3193
_cell_angle_alpha 90.00
_cell_angle_beta 90.00
_cell_angle_gamma 90.00
loop_
_atom_site_label
_atom_site_type_symbol
_atom_site_fract_x
_atom_site_fract_y
_atom_site_fract_z
Ba1 Ba 0.0000 0.5000 0.2358
Pr1 Pr 0.0000 0.0000 0.5000
Sb1 Sb 0.0000 0.5000 0.8805
Sb2 Sb 0.5000 0.5000 0.5000
Rh1 Rh 0.0000 0.0000 0.0000
Rh2 Rh 0.0000 0.5000 0.6440
Rh3 Rh 0.5000 0.5000 0.0000
```



6.
Starting from a DFT-relaxed cell (PBE, Alexandria), the powder diffractogram of Ce3HgPt2 was simulated for Cu Kα (λ = 1.5418 Å).
Lines closer than 0.1° are merged.

Most intense lines, 2θ = 5–70°, low angle first:
2theta	I_rel	h k l
23.6	47	1 1 0
27.2	49	1 1 3
36.1	100	1 1 6
38.7	14	0 1 8
41.6	57	3 0 0
47.7	14	1 1 9
48.4	8	2 2 0
56.2	26	2 2 6
63.6	9	3 1 8
65.6	10	4 1 0

```
data_Ce3HgPt2
_chemical_formula_sum 'Ce18 Hg6 Pt12'
_space_group_name_H-M_alt 'R -3 c'
_space_group_IT_number 167
_space_group_name_Hall '-R 3 2"c'
_cell_length_a 7.5256
_cell_length_b 7.5256
_cell_length_c 19.9281
_cell_angle_alpha 90.00
_cell_angle_beta 90.00
_cell_angle_gamma 120.00
loop_
_atom_site_label
_atom_site_type_symbol
_atom_site_fract_x
_atom_site_fract_y
_atom_site_fract_z
Ce1 Ce 0.0000 0.2871 0.2500
Hg1 Hg 0.0000 0.0000 0.0000
Pt1 Pt 0.0000 0.0000 0.1492
```



7.
Starting from a DFT-relaxed cell (PBE, Alexandria), the powder diffractogram of Ba8Sr2Ag was simulated for Cu Kα (λ = 1.5418 Å).
Lines closer than 0.1° are merged.

Most intense lines, 2θ = 5–70°, low angle first:
2theta	I_rel	h k l
24.4	100	4 0 2
25.7	8	8 0 0
26.1	68	1 1 -2
32.3	14	10 0 0
37.2	26	0 2 0
41.9	27	9 1 2
45.0	37	4 2 2
50.0	16	8 0 4
53.6	9	2 2 -4
60.5	12	1 3 -2

```
data_Ba8Sr2Ag
_chemical_formula_sum 'Ba16 Sr4 Ag2'
_space_group_name_H-M_alt 'C 1 2/m 1'
_space_group_IT_number 12
_space_group_name_Hall '-C 2y'
_cell_length_a 28.1558
_cell_length_b 4.8394
_cell_length_c 9.6710
_cell_angle_alpha 90.00
_cell_angle_beta 99.88
_cell_angle_gamma 90.00
loop_
_atom_site_label
_atom_site_type_symbol
_atom_site_fract_x
_atom_site_fract_y
_atom_site_fract_z
Ba1 Ba 0.0039 0.0000 0.2417
Ba2 Ba 0.1048 0.5000 0.5631
Ba3 Ba 0.1180 0.5000 0.0507
Ba4 Ba 0.2023 0.0000 0.3653
Sr1 Sr 0.2103 0.0000 0.8433
Ag1 Ag 0.0000 0.5000 0.0000
```